1.
# PrP2
Calculated powder diffraction line list, Cu Kα. Input: the PBE geometry in Alexandria.
Intensities are scaled so that the largest is 100.

abc: 4.054 6.615 10.239
angles: 90.00 105.54 90.00
Space group P2_1/c (No. 14)
One atom of each set of equivalent atoms:
Pr 0.080 0.183 0.358
P 0.304 0.621 0.454
P 0.465 0.164 0.663

Main lines, sorted by position (10° ≤ 2θ ≤ 90°):
d/Å, I/Imax, hkl
3.954, 78, 0 1 2
3.906, 31, 1 0 0
3.561, 36, 1 0 -2
3.307, 36, 0 2 0
3.136, 85, 1 1 -2
2.945, 31, 0 1 3
2.554, 75, 1 2 -1
2.522, 100, 1 1 2
2.252, 36, 1 1 -4
1.831, 30, 0 3 3

2.
# Pr5P4
Calculated powder diffraction line list, Cu Kα. Input: the PBE geometry in Alexandria.
Intensities are scaled so that the largest is 100.

abc: 11.702 11.702 4.078
angles: 90.00 90.00 90.00
Space group I4/m (No. 87)
One atom of each set of equivalent atoms:
Pr 0.000 0.000 0.000
Pr 0.096 0.237 0.500
P 0.094 0.773 0.000

Main lines, sorted by position (10° ≤ 2θ ≤ 90°):
d/Å, I/Imax, hkl
8.274, 47, 1 1 0
3.700, 45, 1 3 0
3.217, 100, 2 1 1
2.617, 41, 2 4 0
2.539, 42, 3 2 1
2.329, 20, 1 4 1
2.039, 13, 0 0 2
1.740, 16, 1 6 1
1.668, 18, 4 5 1
1.608, 19, 2 4 2

3.
# Pr2P3Pt6
Calculated powder diffraction line list, Cu Kα. Input: the PBE geometry in Alexandria.
Intensities are scaled so that the largest is 100.

abc: 7.4392 7.4392 4.1681
angles: 90.00 90.00 120.00
Space group P-62m (No. 189)
One atom of each set of equivalent atoms:
Pr 0.3333 0.6667 0.0000
P 0.0000 0.6388 0.5000
Pt 0.0000 0.3226 0.5000
Pt 0.0000 0.7890 0.0000

Main lines, sorted by position (10° ≤ 2θ ≤ 90°):
d/Å, I/Imax, hkl
6.443, 11, 1 0 0
2.775, 100, 1 1 1
2.435, 25, 2 1 0
2.148, 23, 3 0 0
2.103, 46, 2 1 1
2.084, 22, 0 0 2
1.860, 13, 2 2 0
1.583, 14, 2 1 2
1.496, 15, 3 0 2
1.332, 28, 4 1 1

4.
# Pr2PPt
Calculated powder diffraction line list, Cu Kα. Input: the PBE geometry in Alexandria.
Intensities are scaled so that the largest is 100.

abc: 4.1627 4.1627 21.3067
angles: 90.00 90.00 120.00
Space group R-3m (No. 166, hexagonal axes)
One atom of each set of equivalent atoms:
Pr 0.0000 0.0000 0.2478
P 0.0000 0.0000 0.5000
Pt 0.0000 0.0000 0.0000

Main lines, sorted by position (10° ≤ 2θ ≤ 90°):
d/Å, I/Imax, hkl
7.102, 21, 0 0 3
3.554, 17, 1 0 1
2.986, 100, 1 0 4
2.142, 39, 0 1 8
2.081, 36, 1 1 0
1.707, 21, 0 2 4
1.493, 15, 2 0 8
1.351, 18, 1 1 12
1.320, 17, 2 1 4
1.213, 14, 1 2 8